# 1
For Na4Ga2S5, DFT lattice parameters and positions (GGA-PBE) gives the computed X-ray diffraction stick pattern in this record (Cu Kα, 1.54184 Å).
Kinematic intensities with the Lorentz-polarization factor, no thermal factor.

Cell and atoms:
a b c (Å): 8.048 6.178 20.113
angles (deg): 90.00 91.37 90.00
Fractional coordinates of all 44 atoms:
1 Na 0.076 0.244 0.043
2 Na 0.076 0.256 0.543
3 Na 0.112 0.000 0.700
4 Na 0.112 0.500 0.200
5 Na 0.347 0.525 0.783
6 Na 0.347 0.975 0.283
7 Na 0.402 0.541 0.603
8 Na 0.402 0.959 0.103
9 Na 0.598 0.041 0.897
10 Na 0.598 0.459 0.397
11 Na 0.653 0.025 0.717
12 Na 0.653 0.475 0.217
13 Na 0.888 0.000 0.300
14 Na 0.888 0.500 0.800
15 Na 0.924 0.744 0.457
16 Na 0.924 0.756 0.957
17 Ga 0.167 0.067 0.866
18 Ga 0.167 0.433 0.366
19 Ga 0.346 0.587 0.963
20 Ga 0.346 0.913 0.463
21 Ga 0.654 0.087 0.537
22 Ga 0.654 0.413 0.037
23 Ga 0.833 0.567 0.634
24 Ga 0.833 0.933 0.134
25 S 0.091 0.023 0.172
26 S 0.091 0.477 0.672
27 S 0.135 0.071 0.402
28 S 0.135 0.429 0.902
29 S 0.258 0.564 0.470
30 S 0.258 0.936 0.970
31 S 0.368 0.016 0.793
32 S 0.368 0.484 0.293
33 S 0.389 0.024 0.574
34 S 0.389 0.476 0.074
35 S 0.611 0.524 0.926
36 S 0.611 0.976 0.426
37 S 0.632 0.516 0.707
38 S 0.632 0.984 0.207
39 S 0.742 0.064 0.030
40 S 0.742 0.436 0.530
41 S 0.865 0.571 0.098
42 S 0.865 0.929 0.598
43 S 0.909 0.523 0.328
44 S 0.909 0.977 0.828

Top 8 peaks for 2θ from 10° to 90°, most intense first:
2θ 13.9, 6.356 Å, intensity 100; 2θ 28.9, 3.089 Å, intensity 88; 2θ 34.4, 2.606 Å, intensity 76; 2θ 19.5, 4.543 Å, intensity 70; 2θ 35.3, 2.545 Å, intensity 52; 2θ 18.7, 4.745 Å, intensity 44; 2θ 49.2, 1.851 Å, intensity 39; 2θ 26.4, 3.371 Å, intensity 31

# 2
For Na2Ga3Sb3, DFT lattice parameters and positions (GGA-PBE) gives the computed X-ray diffraction stick pattern in this record (Cu Kα, 1.54184 Å).
Kinematic intensities with the Lorentz-polarization factor, no thermal factor.

Cell and atoms:
a b c (Å): 27.267 4.354 7.358
angles (deg): 90.00 90.00 90.00
Fractional coordinates of all 32 atoms:
1 Na 0.004 0.250 0.221
2 Na 0.184 0.250 0.251
3 Na 0.316 0.750 0.751
4 Na 0.496 0.750 0.721
5 Na 0.504 0.250 0.279
6 Na 0.684 0.250 0.249
7 Na 0.816 0.750 0.749
8 Na 0.996 0.750 0.779
9 Ga 0.118 0.750 0.452
10 Ga 0.123 0.250 0.897
11 Ga 0.207 0.750 0.572
12 Ga 0.293 0.250 0.072
13 Ga 0.377 0.750 0.397
14 Ga 0.382 0.250 0.952
15 Ga 0.618 0.750 0.048
16 Ga 0.623 0.250 0.603
17 Ga 0.707 0.750 0.928
18 Ga 0.793 0.250 0.428
19 Ga 0.877 0.750 0.103
20 Ga 0.882 0.250 0.548
21 Sb 0.072 0.250 0.587
22 Sb 0.093 0.750 0.091
23 Sb 0.220 0.250 0.795
24 Sb 0.280 0.750 0.295
25 Sb 0.407 0.250 0.591
26 Sb 0.428 0.750 0.087
27 Sb 0.572 0.250 0.913
28 Sb 0.593 0.750 0.409
29 Sb 0.720 0.250 0.705
30 Sb 0.780 0.750 0.205
31 Sb 0.907 0.250 0.909
32 Sb 0.928 0.750 0.413

Top 8 peaks for 2θ from 10° to 90°, most intense first:
2θ 23.7, 3.747 Å, intensity 100; 2θ 25.7, 3.464 Å, intensity 97; 2θ 19.5, 4.544 Å, intensity 96; 2θ 30.9, 2.891 Å, intensity 96; 2θ 41.5, 2.177 Å, intensity 87; 2θ 44.4, 2.039 Å, intensity 69; 2θ 28.9, 3.089 Å, intensity 63; 2θ 43.8, 2.067 Å, intensity 60

# 3
For Na2Ga2Se3, DFT lattice parameters and positions (GGA-PBE) gives the computed X-ray diffraction stick pattern in this record (Cu Kα, 1.54184 Å).
Kinematic intensities with the Lorentz-polarization factor, no thermal factor.

Cell and atoms:
a b c (Å): 7.025 7.025 8.710
angles (deg): 97.65 97.65 121.03
Fractional coordinates of all 14 atoms:
1 Na 0.000 0.000 0.000
2 Na 0.167 0.833 0.500
3 Na 0.500 0.500 0.500
4 Na 0.833 0.167 0.500
5 Ga 0.285 0.618 0.854
6 Ga 0.382 0.715 0.146
7 Ga 0.618 0.285 0.854
8 Ga 0.715 0.382 0.146
9 Se 0.086 0.428 0.262
10 Se 0.254 0.254 0.739
11 Se 0.428 0.086 0.262
12 Se 0.572 0.914 0.738
13 Se 0.746 0.746 0.261
14 Se 0.914 0.572 0.738

Top 8 peaks for 2θ from 10° to 90°, most intense first:
2θ 29.2, 3.062 Å, intensity 100; 2θ 44.4, 2.040 Å, intensity 69; 2θ 21.2, 4.193 Å, intensity 49; 2θ 29.4, 3.038 Å, intensity 48; 2θ 45.2, 2.006 Å, intensity 48; 2θ 25.6, 3.477 Å, intensity 18; 2θ 54.2, 1.693 Å, intensity 17; 2θ 15.2, 5.847 Å, intensity 16

# 4
For Na4Ga4Si19, DFT lattice parameters and positions (GGA-PBE) gives the computed X-ray diffraction stick pattern in this record (Cu Kα, 1.54184 Å).
Kinematic intensities with the Lorentz-polarization factor, no thermal factor.

Cell and atoms:
a b c (Å): 10.376 10.394 10.408
angles (deg): 89.97 89.83 89.85
Fractional coordinates of all 54 atoms:
1 Na 0.000 0.000 0.000
2 Na 0.000 0.001 0.502
3 Na 0.001 0.499 0.250
4 Na 0.251 0.498 0.751
5 Na 0.501 0.250 0.251
6 Na 0.501 0.749 0.252
7 Na 0.502 0.001 0.750
8 Na 0.751 0.499 0.751
9 Ga 0.000 0.749 0.752
10 Ga 0.001 0.383 0.942
11 Ga 0.310 0.500 0.367
12 Ga 0.383 0.999 0.442
13 Ga 0.500 0.500 0.001
14 Ga 0.501 0.309 0.634
15 Ga 0.752 0.999 0.251
16 Ga 0.810 0.117 0.751
17 Si 0.000 0.380 0.556
18 Si 0.000 0.615 0.555
19 Si 0.001 0.619 0.947
20 Si 0.004 0.251 0.748
21 Si 0.119 0.193 0.250
22 Si 0.119 0.806 0.251
23 Si 0.183 0.312 0.436
24 Si 0.183 0.687 0.437
25 Si 0.184 0.683 0.067
26 Si 0.188 0.315 0.068
27 Si 0.195 0.119 0.751
28 Si 0.196 0.885 0.752
29 Si 0.248 0.999 0.247
30 Si 0.306 0.500 0.132
31 Si 0.312 0.185 0.568
32 Si 0.315 0.813 0.569
33 Si 0.317 0.816 0.934
34 Si 0.318 0.184 0.936
35 Si 0.381 0.999 0.056
36 Si 0.501 0.304 0.870
37 Si 0.501 0.694 0.632
38 Si 0.501 0.695 0.866
39 Si 0.505 0.504 0.501
40 Si 0.616 0.999 0.057
41 Si 0.620 0.999 0.445
42 Si 0.682 0.184 0.940
43 Si 0.684 0.816 0.934
44 Si 0.685 0.817 0.568
45 Si 0.687 0.182 0.562
46 Si 0.695 0.501 0.370
47 Si 0.696 0.501 0.137
48 Si 0.805 0.880 0.751
49 Si 0.813 0.316 0.070
50 Si 0.817 0.315 0.434
51 Si 0.818 0.683 0.435
52 Si 0.818 0.684 0.068
53 Si 0.885 0.195 0.250
54 Si 0.886 0.804 0.251

Top 8 peaks for 2θ from 10° to 90°, most intense first:
2θ 32.2, 2.779 Å, intensity 100; 2θ 19.1, 4.646 Å, intensity 67; 2θ 29.8, 3.001 Å, intensity 34; 2θ 51.2, 1.785 Å, intensity 33; 2θ 32.3, 2.773 Å, intensity 33; 2θ 51.3, 1.781 Å, intensity 31; 2θ 54.4, 1.685 Å, intensity 29; 2θ 31.0, 2.885 Å, intensity 28

# 5
For NaGaTe2, DFT lattice parameters and positions (GGA-PBE) gives the computed X-ray diffraction stick pattern in this record (Cu Kα, 1.54184 Å).
Kinematic intensities with the Lorentz-polarization factor, no thermal factor.

Cell and atoms:
a b c (Å): 8.290 8.290 6.888
angles (deg): 90.00 90.00 90.00
Fractional coordinates of all 16 atoms:
1 Na 0.000 0.000 0.250
2 Na 0.000 0.000 0.750
3 Na 0.500 0.500 0.250
4 Na 0.500 0.500 0.750
5 Ga 0.000 0.500 0.250
6 Ga 0.000 0.500 0.750
7 Ga 0.500 0.000 0.250
8 Ga 0.500 0.000 0.750
9 Te 0.175 0.325 0.000
10 Te 0.175 0.675 0.500
11 Te 0.325 0.175 0.500
12 Te 0.325 0.825 0.000
13 Te 0.675 0.175 0.000
14 Te 0.675 0.825 0.500
15 Te 0.825 0.325 0.500
16 Te 0.825 0.675 0.000

Top 8 peaks for 2θ from 10° to 90°, most intense first:
2θ 27.3, 3.265 Å, intensity 100; 2θ 33.8, 2.649 Å, intensity 54; 2θ 46.5, 1.953 Å, intensity 39; 2θ 15.1, 5.862 Å, intensity 32; 2θ 47.1, 1.930 Å, intensity 31; 2θ 43.4, 2.086 Å, intensity 23; 2θ 30.5, 2.931 Å, intensity 20; 2θ 61.3, 1.513 Å, intensity 14

# 6
For NaGaTe2, DFT lattice parameters and positions (GGA-PBE) gives the computed X-ray diffraction stick pattern in this record (Cu Kα, 1.54184 Å).
Kinematic intensities with the Lorentz-polarization factor, no thermal factor.

Cell and atoms:
a b c (Å): 7.146 7.146 10.980
angles (deg): 90.00 90.00 90.00
Fractional coordinates of all 16 atoms:
1 Na 0.000 0.000 0.000
2 Na 0.000 0.500 0.250
3 Na 0.500 0.000 0.750
4 Na 0.500 0.500 0.500
5 Ga 0.000 0.000 0.500
6 Ga 0.000 0.500 0.750
7 Ga 0.500 0.000 0.250
8 Ga 0.500 0.500 0.000
9 Te 0.198 0.250 0.625
10 Te 0.250 0.698 0.875
11 Te 0.250 0.802 0.375
12 Te 0.302 0.250 0.125
13 Te 0.698 0.750 0.125
14 Te 0.750 0.198 0.375
15 Te 0.750 0.302 0.875
16 Te 0.802 0.750 0.625

Top 8 peaks for 2θ from 10° to 90°, most intense first:
2θ 23.9, 3.718 Å, intensity 100; 2θ 41.5, 2.177 Å, intensity 37; 2θ 43.3, 2.090 Å, intensity 28; 2θ 14.8, 5.990 Å, intensity 26; 2θ 35.5, 2.527 Å, intensity 24; 2θ 46.6, 1.951 Å, intensity 13; 2θ 53.2, 1.721 Å, intensity 11; 2θ 37.4, 2.407 Å, intensity 11

# 7
For Nb3Ga, DFT lattice parameters and positions (GGA-PBE) gives the computed X-ray diffraction stick pattern in this record (Cu Kα, 1.54184 Å).
Kinematic intensities with the Lorentz-polarization factor, no thermal factor.

Cell and atoms:
a b c (Å): 5.189 5.189 5.189
angles (deg): 90.00 90.00 90.00
Fractional coordinates of all 8 atoms:
1 Nb 0.000 0.250 0.500
2 Nb 0.000 0.750 0.500
3 Nb 0.250 0.500 0.000
4 Nb 0.500 0.000 0.250
5 Nb 0.500 0.000 0.750
6 Nb 0.750 0.500 0.000
7 Ga 0.000 0.000 0.000
8 Ga 0.500 0.500 0.500

Top 8 peaks for 2θ from 10° to 90°, most intense first:
2θ 38.8, 2.321 Å, intensity 100; 2θ 42.7, 2.118 Å, intensity 60; 2θ 67.5, 1.387 Å, intensity 29; 2θ 34.6, 2.595 Å, intensity 27; 2θ 64.8, 1.439 Å, intensity 21; 2θ 85.8, 1.132 Å, intensity 19; 2θ 72.9, 1.297 Å, intensity 13; 2θ 61.9, 1.498 Å, intensity 10

# 8
For NbGa3, DFT lattice parameters and positions (GGA-PBE) gives the computed X-ray diffraction stick pattern in this record (Cu Kα, 1.54184 Å).
Kinematic intensities with the Lorentz-polarization factor, no thermal factor.

Cell and atoms:
a b c (Å): 3.830 3.830 8.815
angles (deg): 90.00 90.00 90.00
Fractional coordinates of all 8 atoms:
1 Nb 0.000 0.000 0.000
2 Nb 0.500 0.500 0.500
3 Ga 0.000 0.000 0.500
4 Ga 0.000 0.500 0.250
5 Ga 0.000 0.500 0.750
6 Ga 0.500 0.000 0.250
7 Ga 0.500 0.000 0.750
8 Ga 0.500 0.500 0.000

Top 8 peaks for 2θ from 10° to 90°, most intense first:
2θ 39.0, 2.307 Å, intensity 100; 2θ 47.5, 1.915 Å, intensity 28; 2θ 64.5, 1.445 Å, intensity 22; 2θ 41.0, 2.204 Å, intensity 22; 2θ 82.6, 1.168 Å, intensity 21; 2θ 73.3, 1.291 Å, intensity 15; 2θ 83.9, 1.154 Å, intensity 10; 2θ 69.4, 1.354 Å, intensity 9

# 9
For NbGa3Ni12, DFT lattice parameters and positions (GGA-PBE) gives the computed X-ray diffraction stick pattern in this record (Cu Kα, 1.54184 Å).
Kinematic intensities with the Lorentz-polarization factor, no thermal factor.

Cell and atoms:
a b c (Å): 3.613 3.613 14.230
angles (deg): 90.00 90.00 90.00
Fractional coordinates of all 16 atoms:
1 Nb 0.000 0.000 0.000
2 Ga 0.000 0.000 0.255
3 Ga 0.000 0.000 0.500
4 Ga 0.000 0.000 0.745
5 Ni 0.000 0.500 0.128
6 Ni 0.000 0.500 0.375
7 Ni 0.000 0.500 0.625
8 Ni 0.000 0.500 0.872
9 Ni 0.500 0.000 0.128
10 Ni 0.500 0.000 0.375
11 Ni 0.500 0.000 0.625
12 Ni 0.500 0.000 0.872
13 Ni 0.500 0.500 0.000
14 Ni 0.500 0.500 0.252
15 Ni 0.500 0.500 0.500
16 Ni 0.500 0.500 0.748

Top 6 peaks for 2θ from 10° to 90°, most intense first:
2θ 43.6, 2.075 Å, intensity 100; 2θ 50.5, 1.807 Å, intensity 32; 2θ 74.9, 1.267 Å, intensity 18; 2θ 51.4, 1.779 Å, intensity 15; 2θ 74.2, 1.277 Å, intensity 9; 2θ 24.6, 3.613 Å, intensity 1